# 1
Simulated powder X-ray diffraction pattern of Tb4Si7 for Cu Kα (λ = 1.5418 Å), from the GGA-PBE geometry in the Materials Project.
Kinematic intensities with the Lorentz-polarization factor, no thermal factor.

Structural model:
a b c (Å): 4.1029 3.9952 13.6215
angles (deg): 90.00 90.23 90.00
Fractional coordinates of all 11 atoms:
Tb1 0.0000 0.0000 0.0000
Tb2 0.0016 0.5000 0.2483
Tb3 0.4918 0.5000 0.4987
Tb4 0.4945 0.0000 0.7449
Si1 0.4968 0.0000 0.1725
Si2 0.4983 0.5000 0.9134
Si3 0.5034 0.5000 0.0830
Si4 0.5112 0.0000 0.3420
Si5 0.9921 0.0000 0.5602
Si6 0.9931 0.5000 0.6587
Si7 0.9970 0.5000 0.8300

Peak list (10 most intense, 15° ≤ 2θ ≤ 90°, sorted by position)
| 2θ/deg | intensity | h k l |
| --- | --- | --- |
| 22.63 | 25 | 1 0 -1 |
| 23.20 | 25 | 0 1 1 |
| 26.17 | 26 | 0 0 4 |
| 29.28 | 14 | 1 0 -3 |
| 29.40 | 14 | 1 0 3 |
| 29.79 | 25 | 0 1 3 |
| 33.97 | 100 | 1 1 -2 |
| 40.06 | 19 | 0 1 5 |
| 44.15 | 15 | 2 0 0 |
| 45.40 | 14 | 0 2 0 |

---

# 2
Simulated powder X-ray diffraction pattern of Tb2Ti3Si4 for Cu Kα (λ = 1.5418 Å), from the GGA-PBE geometry in the Materials Project.
Kinematic intensities with the Lorentz-polarization factor, no thermal factor.

Structural model:
a b c (Å): 7.0698 7.0698 12.9992
angles (deg): 90.00 90.00 90.00
Fractional coordinates of all 36 atoms:
Tb1 0.0025 0.3399 0.0334
Tb2 0.1601 0.5025 0.2834
Tb3 0.3399 0.0025 0.9666
Tb4 0.4975 0.8399 0.2166
Tb5 0.5025 0.1601 0.7166
Tb6 0.6601 0.9975 0.4666
Tb7 0.8399 0.4975 0.7834
Tb8 0.9975 0.6601 0.5334
Ti1 0.0088 0.1529 0.6235
Ti2 0.1529 0.0088 0.3765
Ti3 0.1726 0.8274 0.7500
Ti4 0.3274 0.3274 0.5000
Ti5 0.3471 0.5088 0.8735
Ti6 0.4912 0.6529 0.6265
Ti7 0.5088 0.3471 0.1265
Ti8 0.6529 0.4912 0.3735
Ti9 0.6726 0.6726 0.0000
Ti10 0.8274 0.1726 0.2500
Ti11 0.8471 0.9912 0.8765
Ti12 0.9912 0.8471 0.1235
Si1 0.0465 0.7095 0.9351
Si2 0.1293 0.2025 0.8149
Si3 0.2025 0.1293 0.1851
Si4 0.2095 0.4535 0.6851
Si5 0.2905 0.9535 0.5649
Si6 0.2975 0.6293 0.0649
Si7 0.3707 0.7025 0.4351
Si8 0.4535 0.2095 0.3149
Si9 0.5465 0.7905 0.8149
Si10 0.6293 0.2975 0.9351
Si11 0.7025 0.3707 0.5649
Si12 0.7095 0.0465 0.0649
Si13 0.7905 0.5465 0.1851
Si14 0.7975 0.8707 0.6851
Si15 0.8707 0.7975 0.3149
Si16 0.9535 0.2905 0.4351

Peak list (10 most intense, 15° ≤ 2θ ≤ 90°, sorted by position)
| 2θ/deg | intensity | h k l |
| --- | --- | --- |
| 19.02 | 40 | 1 1 1 |
| 29.07 | 31 | 2 1 1 |
| 30.27 | 32 | 1 0 4 |
| 31.47 | 42 | 2 1 2 |
| 32.87 | 25 | 1 1 4 |
| 35.14 | 100 | 2 1 3 |
| 36.61 | 69 | 2 2 1 |
| 39.05 | 66 | 1 1 5 |
| 40.73 | 87 | 3 0 2 |
| 59.41 | 32 | 3 1 6 |

---

# 3
Simulated powder X-ray diffraction pattern of TbTiSi for Cu Kα (λ = 1.5418 Å), from the GGA-PBE geometry in the Materials Project.
Kinematic intensities with the Lorentz-polarization factor, no thermal factor.

Structural model:
a b c (Å): 4.0513 4.0513 7.5723
angles (deg): 90.00 90.00 90.00
Fractional coordinates of all 6 atoms:
Tb1 0.2500 0.2500 0.1545
Tb2 0.7500 0.7500 0.8455
Ti1 0.2500 0.7500 0.5000
Ti2 0.7500 0.2500 0.5000
Si1 0.2500 0.2500 0.7353
Si2 0.7500 0.7500 0.2647

Peak list (10 most intense, 15° ≤ 2θ ≤ 90°, sorted by position)
| 2θ/deg | intensity | h k l |
| --- | --- | --- |
| 24.93 | 84 | 1 0 1 |
| 31.22 | 46 | 1 1 0 |
| 32.36 | 100 | 1 0 2 |
| 33.44 | 71 | 1 1 1 |
| 35.57 | 31 | 0 0 3 |
| 39.44 | 44 | 1 1 2 |
| 44.74 | 47 | 2 0 0 |
| 51.89 | 24 | 2 1 1 |
| 56.29 | 42 | 2 1 2 |
| 58.42 | 44 | 2 0 3 |

---

What did the third record say?
Simulated powder X-ray diffraction pattern of TbTiSi for Cu Kα (λ = 1.5418 Å), from the GGA-PBE geometry in the Materials Project.
Kinematic intensities with the Lorentz-polarization factor, no thermal factor.

Structural model:
a b c (Å): 4.0513 4.0513 7.5723
angles (deg): 90.00 90.00 90.00
Fractional coordinates of all 6 atoms:
Tb1 0.2500 0.2500 0.1545
Tb2 0.7500 0.7500 0.8455
Ti1 0.2500 0.7500 0.5000
Ti2 0.7500 0.2500 0.5000
Si1 0.2500 0.2500 0.7353
Si2 0.7500 0.7500 0.2647

Peak list (10 most intense, 15° ≤ 2θ ≤ 90°, sorted by position)
| 2θ/deg | intensity | h k l |
| --- | --- | --- |
| 24.93 | 84 | 1 0 1 |
| 31.22 | 46 | 1 1 0 |
| 32.36 | 100 | 1 0 2 |
| 33.44 | 71 | 1 1 1 |
| 35.57 | 31 | 0 0 3 |
| 39.44 | 44 | 1 1 2 |
| 44.74 | 47 | 2 0 0 |
| 51.89 | 24 | 2 1 1 |
| 56.29 | 42 | 2 1 2 |
| 58.42 | 44 | 2 0 3 |

---

Copy entry 1 word for word.
Simulated powder X-ray diffraction pattern of Tb4Si7 for Cu Kα (λ = 1.5418 Å), from the GGA-PBE geometry in the Materials Project.
Kinematic intensities with the Lorentz-polarization factor, no thermal factor.

Structural model:
a b c (Å): 4.1029 3.9952 13.6215
angles (deg): 90.00 90.23 90.00
Fractional coordinates of all 11 atoms:
Tb1 0.0000 0.0000 0.0000
Tb2 0.0016 0.5000 0.2483
Tb3 0.4918 0.5000 0.4987
Tb4 0.4945 0.0000 0.7449
Si1 0.4968 0.0000 0.1725
Si2 0.4983 0.5000 0.9134
Si3 0.5034 0.5000 0.0830
Si4 0.5112 0.0000 0.3420
Si5 0.9921 0.0000 0.5602
Si6 0.9931 0.5000 0.6587
Si7 0.9970 0.5000 0.8300

Peak list (10 most intense, 15° ≤ 2θ ≤ 90°, sorted by position)
| 2θ/deg | intensity | h k l |
| --- | --- | --- |
| 22.63 | 25 | 1 0 -1 |
| 23.20 | 25 | 0 1 1 |
| 26.17 | 26 | 0 0 4 |
| 29.28 | 14 | 1 0 -3 |
| 29.40 | 14 | 1 0 3 |
| 29.79 | 25 | 0 1 3 |
| 33.97 | 100 | 1 1 -2 |
| 40.06 | 19 | 0 1 5 |
| 44.15 | 15 | 2 0 0 |
| 45.40 | 14 | 0 2 0 |

---

Number 3 is which compound? TbTiSi